1.
Ag8Ge: theoretical powder diffraction line list (Cu Kα X-rays), based on the PBE geometry in Alexandria.
Kinematic intensities with the Lorentz-polarization factor, no thermal factor.

Crystal structure
```
data_Ag8Ge
_chemical_formula_sum 'Ag16 Ge2'
_cell_length_a 9.056
_cell_length_b 9.056
_cell_length_c 3.931
_cell_angle_alpha 90.00
_cell_angle_beta 90.00
_cell_angle_gamma 90.00
_symmetry_space_group_name_H-M 'I 4/m m m'
_symmetry_Int_Tables_number 139
_symmetry_space_group_name_Hall '-I 4 2'
loop_
_atom_site_label
_atom_site_type_symbol
_atom_site_fract_x
_atom_site_fract_y
_atom_site_fract_z
Ag1 Ag 0.000 0.334 0.000
Ag2 Ag 0.166 0.166 0.500
Ge1 Ge 0.000 0.000 0.000
```

Principal peaks in the range 2θ from 10° to 90°, most intense first:
hkl	d [Å]	2θ (°)	I/Imax
3 0 1	2.394	37.6	100
3 3 0	2.134	42.3	35
6 3 1	1.277	74.3	25
3 3 2	1.446	64.4	19
0 0 2	1.965	46.2	14
6 0 0	1.509	61.4	11
3 0 3	1.202	79.8	10
6 0 2	1.197	80.2	10
1 1 0	6.403	13.8	1

2.
Ag3Ge2: theoretical powder diffraction line list (Cu Kα X-rays), based on the PBE geometry in Alexandria.
Kinematic intensities with the Lorentz-polarization factor, no thermal factor.

Crystal structure
```
data_Ag3Ge2
_chemical_formula_sum 'Ag18 Ge12'
_cell_length_a 7.8300
_cell_length_b 7.8300
_cell_length_c 10.7794
_cell_angle_alpha 90.00
_cell_angle_beta 90.00
_cell_angle_gamma 120.00
_symmetry_space_group_name_H-M 'R -3 c'
_symmetry_Int_Tables_number 167
_symmetry_space_group_name_Hall '-R 3 2"c'
loop_
_atom_site_label
_atom_site_type_symbol
_atom_site_fract_x
_atom_site_fract_y
_atom_site_fract_z
Ag1 Ag 0.0000 0.3127 0.2500
Ge1 Ge 0.0000 0.0000 0.1205
```

Principal peaks in the range 2θ from 10° to 90°, most intense first:
hkl	d [Å]	2θ (°)	I/Imax
1 1 3	2.647	33.9	100
3 0 0	2.260	39.9	85
2 2 3	1.719	53.3	23
4 1 3	1.368	68.6	19
3 0 6	1.406	66.5	19
0 2 4	2.110	42.9	12
3 3 0	1.305	72.4	12
2 1 4	1.857	49.1	12
0 0 6	1.797	50.8	8
1 0 4	2.504	35.9	8

3.
AgGeH2Pt: theoretical powder diffraction line list (Cu Kα X-rays), based on the PBE geometry in Alexandria.
Kinematic intensities with the Lorentz-polarization factor, no thermal factor.

Crystal structure
```
data_AgGeH2Pt
_chemical_formula_sum 'Ag1 Ge1 H2 Pt1'
_cell_length_a 3.751
_cell_length_b 3.751
_cell_length_c 5.038
_cell_angle_alpha 90.00
_cell_angle_beta 90.00
_cell_angle_gamma 90.00
_symmetry_space_group_name_H-M 'P 4/m m m'
_symmetry_Int_Tables_number 123
_symmetry_space_group_name_Hall '-P 4 2'
loop_
_atom_site_label
_atom_site_type_symbol
_atom_site_fract_x
_atom_site_fract_y
_atom_site_fract_z
Ag1 Ag 0.000 0.000 0.000
Ge1 Ge 0.500 0.500 0.500
H1 H 0.000 0.500 0.500
Pt1 Pt 0.500 0.500 0.000
```

Principal peaks in the range 2θ from 10° to 90°, most intense first:
hkl	d [Å]	2θ (°)	I/Imax
1 1 0	2.653	33.8	100
0 0 1	5.038	17.6	87
1 1 2	1.827	49.9	66
1 1 1	2.347	38.4	53
0 0 2	2.519	35.6	45
1 0 0	3.751	23.7	41
2 0 0	1.876	48.5	37
2 0 2	1.504	61.7	35
2 0 1	1.758	52.0	21
1 0 2	2.091	43.3	17

4.
TlAgGeHSe: theoretical powder diffraction line list (Cu Kα X-rays), based on the PBE geometry in Alexandria.
Kinematic intensities with the Lorentz-polarization factor, no thermal factor.

Crystal structure
```
data_TlAgGeHSe
_chemical_formula_sum 'Tl1 Ag1 Ge1 H1 Se1'
_cell_length_a 4.933
_cell_length_b 4.014
_cell_length_c 6.140
_cell_angle_alpha 90.00
_cell_angle_beta 112.64
_cell_angle_gamma 90.00
_symmetry_space_group_name_H-M 'P 1 m 1'
_symmetry_Int_Tables_number 6
loop_
_symmetry_equiv_pos_as_xyz
'x,y,z'
'x,-y,z'
loop_
_atom_site_label
_atom_site_type_symbol
_atom_site_fract_x
_atom_site_fract_y
_atom_site_fract_z
Tl1 Tl 0.000 0.000 0.000
Ag1 Ag 0.083 0.000 0.522
Ge1 Ge 0.713 0.500 0.410
H1 H 0.406 0.500 0.185
Se1 Se 0.500 0.500 0.714
```

Principal peaks in the range 2θ from 10° to 90°, most intense first:
hkl	d [Å]	2θ (°)	I/Imax
1 1 0	3.011	29.7	100
1 0 -2	2.973	30.1	54
0 1 2	2.315	38.9	35
2 1 -2	1.960	46.3	33
1 0 0	4.553	19.5	31
0 1 1	3.276	27.2	20
0 2 0	2.007	45.2	20
1 2 -2	1.664	55.2	19
0 0 2	2.834	31.6	18
1 1 2	1.843	49.5	16

5.
TlAgGeHSe: theoretical powder diffraction line list (Cu Kα X-rays), based on the PBE geometry in Alexandria.
Kinematic intensities with the Lorentz-polarization factor, no thermal factor.

Crystal structure
```
data_TlAgGeHSe
_chemical_formula_sum 'Tl1 Ag1 Ge1 H1 Se1'
_cell_length_a 4.774
_cell_length_b 3.650
_cell_length_c 6.228
_cell_angle_alpha 90.00
_cell_angle_beta 91.75
_cell_angle_gamma 90.00
_symmetry_space_group_name_H-M 'P 1 m 1'
_symmetry_Int_Tables_number 6
loop_
_symmetry_equiv_pos_as_xyz
'x,y,z'
'x,-y,z'
loop_
_atom_site_label
_atom_site_type_symbol
_atom_site_fract_x
_atom_site_fract_y
_atom_site_fract_z
Tl1 Tl 0.000 0.000 0.000
Ag1 Ag 0.505 0.500 0.975
Ge1 Ge 0.401 0.500 0.545
H1 H 0.518 0.500 0.290
Se1 Se 0.052 0.000 0.490
```

Principal peaks in the range 2θ from 10° to 90°, most intense first:
hkl	d [Å]	2θ (°)	I/Imax
1 1 0	2.899	30.8	100
0 0 2	3.112	28.7	60
1 1 2	2.102	43.0	42
0 0 1	6.225	14.2	38
1 1 -2	2.141	42.2	34
2 0 0	2.386	37.7	23
1 1 -1	2.646	33.9	19
0 2 2	1.574	58.6	16
2 2 2	1.306	72.4	14
0 2 0	1.825	50.0	14

6.
LiAg2HgGe: theoretical powder diffraction line list (Cu Kα X-rays), based on the PBE geometry in Alexandria.
Kinematic intensities with the Lorentz-polarization factor, no thermal factor.

Crystal structure
```
data_LiAg2HgGe
_chemical_formula_sum 'Li1 Ag2 Hg1 Ge1'
_cell_length_a 4.644
_cell_length_b 4.644
_cell_length_c 4.730
_cell_angle_alpha 90.00
_cell_angle_beta 90.00
_cell_angle_gamma 90.00
_symmetry_space_group_name_H-M 'P 4/m m m'
_symmetry_Int_Tables_number 123
_symmetry_space_group_name_Hall '-P 4 2'
loop_
_atom_site_label
_atom_site_type_symbol
_atom_site_fract_x
_atom_site_fract_y
_atom_site_fract_z
Li1 Li 0.000 0.000 0.000
Ag1 Ag 0.000 0.500 0.000
Hg1 Hg 0.000 0.000 0.500
Ge1 Ge 0.500 0.500 0.500
```

Principal peaks in the range 2θ from 10° to 90°, most intense first:
hkl	d [Å]	2θ (°)	I/Imax
1 1 1	2.697	33.2	100
2 0 0	2.322	38.8	34
3 1 1	1.402	66.7	26
2 0 2	1.657	55.5	24
0 0 2	2.365	38.0	18
1 1 3	1.421	65.7	13
1 0 0	4.644	19.1	13
2 2 2	1.349	69.7	12
2 2 0	1.642	56.0	11
1 0 1	3.314	26.9	10

7.
Ag4HgGe2S7: theoretical powder diffraction line list (Cu Kα X-rays), based on the PBE geometry in Alexandria.
Kinematic intensities with the Lorentz-polarization factor, no thermal factor.

Crystal structure
```
data_Ag4HgGe2S7
_chemical_formula_sum 'Ag16 Hg4 Ge8 S28'
_cell_length_a 17.799
_cell_length_b 6.922
_cell_length_c 10.644
_cell_angle_alpha 90.00
_cell_angle_beta 93.02
_cell_angle_gamma 90.00
_symmetry_space_group_name_H-M 'C 1 c 1'
_symmetry_Int_Tables_number 9
loop_
_symmetry_equiv_pos_as_xyz
'x,y,z'
'x,-y,z+1/2'
'x+1/2,y+1/2,z'
'x+1/2,-y+1/2,z+1/2'
loop_
_atom_site_label
_atom_site_type_symbol
_atom_site_fract_x
_atom_site_fract_y
_atom_site_fract_z
Ag1 Ag 0.000 0.118 0.000
Ag2 Ag 0.221 0.326 0.050
Ag3 Ag 0.286 0.180 0.430
Ag4 Ag 0.433 0.202 0.144
Hg1 Hg 0.071 0.328 0.327
Ge1 Ge 0.150 0.172 0.718
Ge2 Ge 0.360 0.324 0.791
S1 S 0.060 0.204 0.564
S2 S 0.109 0.317 0.891
S3 S 0.184 0.138 0.251
S4 S 0.254 0.330 0.644
S5 S 0.335 0.165 0.964
S6 S 0.391 0.373 0.335
S7 S 0.451 0.174 0.685
```

Principal peaks in the range 2θ from 10° to 90°, most intense first:
hkl	d [Å]	2θ (°)	I/Imax
4 0 2	3.324	26.8	100
5 1 -1	3.071	29.1	92
3 1 -2	3.505	25.4	91
1 1 -3	3.131	28.5	85
2 2 1	3.070	29.1	72
3 3 -2	2.006	45.2	64
0 2 0	3.461	25.7	50
6 0 -4	2.032	44.6	41
9 1 1	1.853	49.2	40
3 1 5	1.893	48.1	37

8.
Ag6HgGeSe6: theoretical powder diffraction line list (Cu Kα X-rays), based on the PBE geometry in Alexandria.
Kinematic intensities with the Lorentz-polarization factor, no thermal factor.

Crystal structure
```
data_Ag6HgGeSe6
_chemical_formula_sum 'Ag12 Hg2 Ge2 Se12'
_cell_length_a 8.086
_cell_length_b 7.917
_cell_length_c 10.765
_cell_angle_alpha 90.00
_cell_angle_beta 90.00
_cell_angle_gamma 90.00
_symmetry_space_group_name_H-M 'P m n 21'
_symmetry_Int_Tables_number 31
loop_
_symmetry_equiv_pos_as_xyz
'x,y,z'
'-x+1/2,-y,z+1/2'
'-x,y,z'
'x+1/2,-y,z+1/2'
loop_
_atom_site_label
_atom_site_type_symbol
_atom_site_fract_x
_atom_site_fract_y
_atom_site_fract_z
Ag1 Ag 0.000 0.117 0.000
Ag2 Ag 0.000 0.262 0.495
Ag3 Ag 0.189 0.886 0.838
Ag4 Ag 0.240 0.588 0.174
Hg1 Hg 0.000 0.485 0.874
Ge1 Ge 0.000 0.758 0.485
Se1 Se 0.000 0.214 0.739
Se2 Se 0.000 0.524 0.347
Se3 Se 0.000 0.743 0.016
Se4 Se 0.000 0.994 0.348
Se5 Se 0.241 0.744 0.614
```

Principal peaks in the range 2θ from 10° to 90°, most intense first:
hkl	d [Å]	2θ (°)	I/Imax
2 0 2	3.232	27.6	100
2 1 2	2.993	29.9	77
2 2 4	1.949	46.6	67
0 2 2	3.189	28.0	64
2 3 1	2.165	41.7	49
0 2 1	3.715	24.0	43
4 0 0	2.021	44.8	40
0 1 5	2.079	43.5	31
2 1 4	2.155	41.9	28
2 2 1	2.736	32.7	28

9.
HoAg2GeO4: theoretical powder diffraction line list (Cu Kα X-rays), based on the PBE geometry in Alexandria.
Kinematic intensities with the Lorentz-polarization factor, no thermal factor.

Crystal structure
```
data_HoAg2GeO4
_chemical_formula_sum 'Ho2 Ag4 Ge2 O8'
_cell_length_a 5.269
_cell_length_b 5.269
_cell_length_c 9.539
_cell_angle_alpha 90.00
_cell_angle_beta 90.00
_cell_angle_gamma 90.00
_symmetry_space_group_name_H-M 'I -4'
_symmetry_Int_Tables_number 82
loop_
_symmetry_equiv_pos_as_xyz
'x,y,z'
'y,-x,-z'
'-x,-y,z'
'-y,x,-z'
'x+1/2,y+1/2,z+1/2'
'y+1/2,-x+1/2,-z+1/2'
'-x+1/2,-y+1/2,z+1/2'
'-y+1/2,x+1/2,-z+1/2'
loop_
_atom_site_label
_atom_site_type_symbol
_atom_site_fract_x
_atom_site_fract_y
_atom_site_fract_z
Ho1 Ho 0.000 0.000 0.000
Ag1 Ag 0.000 0.000 0.500
Ag2 Ag 0.000 0.500 0.750
Ge1 Ge 0.000 0.500 0.250
O1 O 0.162 0.721 0.138
```

Principal peaks in the range 2θ from 10° to 90°, most intense first:
hkl	d [Å]	2θ (°)	I/Imax
1 1 2	2.936	30.4	100
2 0 0	2.634	34.0	29
1 3 2	1.573	58.7	29
2 0 4	1.768	51.7	25
2 2 0	1.863	48.9	14
1 1 6	1.462	63.6	11
3 1 6	1.150	84.2	11
2 2 4	1.468	63.4	11
0 0 4	2.385	37.7	10
3 3 2	1.202	79.8	6

10.
AgGeI4: theoretical powder diffraction line list (Cu Kα X-rays), based on the PBE geometry in Alexandria.
Kinematic intensities with the Lorentz-polarization factor, no thermal factor.

Crystal structure
```
data_AgGeI4
_chemical_formula_sum 'Ag1 Ge1 I4'
_cell_length_a 7.248
_cell_length_b 4.103
_cell_length_c 7.602
_cell_angle_alpha 90.00
_cell_angle_beta 96.22
_cell_angle_gamma 90.00
_symmetry_space_group_name_H-M 'P 1 2/m 1'
_symmetry_Int_Tables_number 10
loop_
_symmetry_equiv_pos_as_xyz
'x,y,z'
'-x,-y,-z'
'-x,y,-z'
'x,-y,z'
loop_
_atom_site_label
_atom_site_type_symbol
_atom_site_fract_x
_atom_site_fract_y
_atom_site_fract_z
Ag1 Ag 0.000 0.000 0.000
Ge1 Ge 0.000 0.500 0.500
I1 I 0.225 0.500 0.184
I2 I 0.257 0.000 0.664
```

Principal peaks in the range 2θ from 10° to 90°, most intense first:
hkl	d [Å]	2θ (°)	I/Imax
1 1 1	3.160	28.2	100
1 0 -2	3.506	25.4	55
0 2 0	2.050	44.2	48
1 0 0	7.206	12.3	43
0 1 3	2.147	42.1	40
2 1 1	2.485	36.1	29
2 0 -2	2.761	32.4	23
1 1 -1	3.294	27.1	20
1 2 -2	1.771	51.6	20
2 1 -1	2.617	34.3	20

11.
AgGe2I8: theoretical powder diffraction line list (Cu Kα X-rays), based on the PBE geometry in Alexandria.
Kinematic intensities with the Lorentz-polarization factor, no thermal factor.

Crystal structure
```
data_AgGe2I8
_chemical_formula_sum 'Ag2 Ge4 I16'
_cell_length_a 13.683
_cell_length_b 11.397
_cell_length_c 7.156
_cell_angle_alpha 90.00
_cell_angle_beta 99.27
_cell_angle_gamma 90.00
_symmetry_space_group_name_H-M 'C 1 2/m 1'
_symmetry_Int_Tables_number 12
loop_
_symmetry_equiv_pos_as_xyz
'x,y,z'
'-x,-y,-z'
'-x,y,-z'
'x,-y,z'
'x+1/2,y+1/2,z'
'-x+1/2,-y+1/2,-z'
'-x+1/2,y+1/2,-z'
'x+1/2,-y+1/2,z'
loop_
_atom_site_label
_atom_site_type_symbol
_atom_site_fract_x
_atom_site_fract_y
_atom_site_fract_z
Ag1 Ag 0.000 0.000 0.000
Ge1 Ge 0.204 0.000 0.688
I1 I 0.107 0.181 0.796
I2 I 0.110 0.500 0.142
I3 I 0.192 0.000 0.319
```

Principal peaks in the range 2θ from 10° to 90°, most intense first:
hkl	d [Å]	2θ (°)	I/Imax
2 2 -1	3.892	22.9	100
3 1 1	3.389	26.3	61
5 3 0	2.201	41.0	48
1 1 0	8.710	10.2	43
2 2 -2	2.894	30.9	36
0 2 0	5.698	15.6	35
2 0 1	4.530	19.6	27
3 3 -3	1.930	47.1	26
3 3 -1	2.789	32.1	24
0 0 2	3.531	25.2	23